This entry pairs a crystal structure of CeHo5In3 with its calculated powder XRD pattern. Radiation: CuKα. Structure: the GGA-PBE geometry in Alexandria.
Kinematic intensities with the Lorentz-polarization factor, no thermal factor.

Structure:
Cell lengths 9.3315, 9.3315, 6.6801 Å; angles 90.00, 90.00, 120.00 degrees
Space group P6_3/mcm (No. 193)
Asymmetric unit:
Ce: 0.0000 0.0000 0.0000 (multiplicity 2)
Ho: 0.0000 0.3260 0.2500 (multiplicity 6)
Ho: 0.3333 0.6667 0.0000 (multiplicity 4)
In: 0.0000 0.3420 0.7500 (multiplicity 6)

Top 10 peaks for 2θ = 5–70°, by intensity:
h k l, d (Å), Position (°2θ), Rel. int.
3 0 0, 2.694, 33.3, 100
1 1 2, 2.716, 33.0, 95
4 1 2, 1.559, 59.3, 35
2 2 2, 1.913, 47.5, 34
3 0 4, 1.419, 65.8, 28
3 3 0, 1.555, 59.4, 18
6 0 0, 1.347, 69.8, 11
0 0 4, 1.670, 55.0, 8
3 0 2, 2.097, 43.1, 8
0 0 2, 3.340, 26.7, 5


This entry pairs a crystal structure of Ce3Ho2In6 with its calculated powder XRD pattern. Radiation: CuKα. Structure: the GGA-PBE geometry in Alexandria.
Kinematic intensities with the Lorentz-polarization factor, no thermal factor.

Structure:
Cell lengths 5.8908, 5.8908, 22.0750 Å; angles 90.00, 90.00, 90.00 degrees
Space group I4/mmm (No. 139)
Asymmetric unit:
Ce: 0.0000 0.0000 0.0000 (multiplicity 2)
Ce: 0.0000 0.0000 0.1407 (multiplicity 4)
Ho: 0.0000 0.0000 0.4254 (multiplicity 4)
In: 0.0000 0.0000 0.2866 (multiplicity 4)
In: 0.0000 0.5000 0.0691 (multiplicity 8)

Top 10 peaks for 2θ = 5–70°, by intensity:
h k l, d (Å), Position (°2θ), Rel. int.
2 0 0, 2.945, 30.3, 100
1 0 7, 2.780, 32.2, 77
0 0 2, 11.038, 8.0, 67
2 1 7, 2.022, 44.8, 62
2 2 0, 2.083, 43.4, 37
1 1 0, 4.165, 21.3, 30
3 2 7, 1.451, 64.2, 21
2 0 14, 1.390, 67.4, 20
2 0 6, 2.300, 39.2, 20
3 0 7, 1.667, 55.1, 17


This entry pairs a crystal structure of Ce2Ho2In5 with its calculated powder XRD pattern. Radiation: CuKα. Structure: the GGA-PBE geometry in Alexandria.
Kinematic intensities with the Lorentz-polarization factor, no thermal factor.

Structure:
Cell lengths 15.3911, 10.6874, 6.1315 Å; angles 90.00, 90.00, 90.00 degrees
Space group Ima2 (No. 46)
Asymmetric unit:
Ce: 0.0810 0.0480 0.0000 (multiplicity 8)
Ho: 0.0000 0.0000 0.5000 (multiplicity 4)
Ho: 0.2500 0.5870 0.0011 (multiplicity 4)
In: 0.0813 0.7500 0.2503 (multiplicity 8)
In: 0.1566 0.1752 0.4998 (multiplicity 8)
In: 0.2500 0.6226 0.5011 (multiplicity 4)

Top 10 peaks for 2θ = 5–70°, by intensity:
h k l, d (Å), Position (°2θ), Rel. int.
3 3 0, 2.926, 30.6, 100
3 1 2, 2.555, 35.1, 78
4 2 0, 3.120, 28.6, 62
0 0 2, 3.066, 29.1, 61
4 3 1, 2.405, 37.4, 53
0 2 2, 2.659, 33.7, 51
6 1 1, 2.310, 39.0, 48
1 4 1, 2.419, 37.2, 47
2 4 0, 2.524, 35.6, 46
5 1 0, 2.958, 30.2, 44